[1]
Ho9Er3Mn2Bi4: theoretical X-ray diffraction stick pattern (Cu Kα (weighted mean of Kα1 and Kα2)), based on a crystal structure in Alexandria, relaxed with GGA-PBE.

Atomic structure:
```
Ho9Er3Mn2Bi4
1.0
8.277 0.000 0.000
0.000 4.260 0.000
0.000 0.000 14.335
Ho Er Mn Bi
9 3 2 4
Direct
0.000 0.000 0.000 Ho
0.000 0.000 0.233 Ho
0.312 0.500 0.312 Ho
0.313 0.500 0.921 Ho
0.350 0.000 0.117 Ho
0.500 0.000 0.500 Ho
0.500 0.000 0.733 Ho
0.813 0.500 0.812 Ho
0.850 0.000 0.616 Ho
0.226 0.500 0.617 Er
0.726 0.500 0.117 Er
0.812 0.500 0.421 Er
0.116 0.500 0.117 Mn
0.616 0.500 0.616 Mn
0.116 0.000 0.450 Bi
0.117 0.000 0.783 Bi
0.617 0.000 0.283 Bi
0.617 0.000 0.950 Bi
```

The 10 most intense peaks (2θ from 10° to 80°), in order of rising 2θ:
- d 2.968, 30.11 deg, rel. 100
- d 2.742, 32.65 deg, rel. 53
- d 2.709, 33.06 deg, rel. 53
- d 2.389, 37.65 deg, rel. 31
- d 2.286, 39.42 deg, rel. 33
- d 2.130, 42.44 deg, rel. 22
- d 1.674, 54.83 deg, rel. 26
- d 1.590, 58.01 deg, rel. 18
- d 1.534, 60.33 deg, rel. 21
- d 1.468, 63.34 deg, rel. 21



[2]
Pm3HoEr2Bi6: theoretical X-ray diffraction stick pattern (Cu Kα (weighted mean of Kα1 and Kα2)), based on a crystal structure in Alexandria, relaxed with GGA-PBE.

Atomic structure:
```
Pm3HoEr2Bi6
1.0
9.835 -2.258 0.000
9.835 2.258 0.000
-2.050 0.000 8.791
Pm Ho Er Bi
3 1 2 6
Direct
0.000 0.000 0.000 Pm
0.334 0.334 0.667 Pm
0.666 0.666 0.333 Pm
0.000 0.000 0.500 Ho
0.333 0.333 0.167 Er
0.667 0.667 0.833 Er
0.165 0.165 0.589 Bi
0.169 0.169 0.078 Bi
0.498 0.498 0.254 Bi
0.502 0.502 0.746 Bi
0.831 0.831 0.922 Bi
0.835 0.835 0.411 Bi
```

The 10 most intense peaks (2θ from 10° to 80°), in order of rising 2θ:
- d 3.687, 24.14 deg, rel. 3
- d 3.193, 27.95 deg, rel. 100
- d 2.258, 39.94 deg, rel. 78
- d 1.925, 47.21 deg, rel. 2
- d 1.844, 49.42 deg, rel. 21
- d 1.841, 49.52 deg, rel. 7
- d 1.596, 57.76 deg, rel. 13
- d 1.428, 65.36 deg, rel. 37
- d 1.304, 72.49 deg, rel. 21
- d 1.302, 72.62 deg, rel. 7



[3]
ErBiI: theoretical X-ray diffraction stick pattern (Cu Kα (weighted mean of Kα1 and Kα2)), based on a crystal structure in Alexandria, relaxed with GGA-PBE.

Atomic structure:
```
ErBiI
1.0
7.313 0.000 0.000
0.000 3.845 0.000
-1.112 0.000 7.670
Er Bi I
2 2 2
Direct
0.000 0.000 0.000 Er
0.000 0.500 0.500 Er
0.289 0.000 0.348 Bi
0.711 0.000 0.652 Bi
0.260 0.500 0.851 I
0.740 0.500 0.149 I
```

The 10 most intense peaks (2θ from 10° to 80°), in order of rising 2θ:
- d 7.237, 12.23 deg, rel. 19
- d 3.204, 27.85 deg, rel. 57
- d 3.185, 28.01 deg, rel. 100
- d 2.843, 31.46 deg, rel. 24
- d 2.576, 34.83 deg, rel. 17
- d 2.415, 37.23 deg, rel. 54
- d 2.188, 41.25 deg, rel. 12
- d 2.129, 42.46 deg, rel. 36
- d 1.923, 47.28 deg, rel. 25
- d 1.648, 55.77 deg, rel. 17



[4]
Er5Bi2Ir2: theoretical X-ray diffraction stick pattern (Cu Kα (weighted mean of Kα1 and Kα2)), based on a crystal structure in Alexandria, relaxed with GGA-PBE.

Atomic structure:
```
Er5Bi2Ir2
1.0
7.740 -3.930 0.000
7.740 3.930 0.000
0.000 0.000 7.781
Er Bi Ir
10 4 4
Direct
0.000 0.000 0.000 Er
0.048 0.722 0.661 Er
0.222 0.548 0.161 Er
0.278 0.952 0.661 Er
0.452 0.778 0.161 Er
0.500 0.500 0.500 Er
0.548 0.222 0.839 Er
0.722 0.048 0.339 Er
0.778 0.452 0.839 Er
0.952 0.278 0.339 Er
0.210 0.210 0.000 Bi
0.290 0.290 0.500 Bi
0.710 0.710 0.500 Bi
0.790 0.790 0.000 Bi
0.136 0.864 0.365 Ir
0.364 0.636 0.865 Ir
0.636 0.364 0.135 Ir
0.864 0.136 0.635 Ir
```

The 10 most intense peaks (2θ from 10° to 80°), in order of rising 2θ:
- d 7.740, 11.43 deg, rel. 39
- d 2.889, 30.95 deg, rel. 71
- d 2.762, 32.42 deg, rel. 88
- d 2.744, 32.64 deg, rel. 37
- d 2.701, 33.16 deg, rel. 56
- d 2.599, 34.51 deg, rel. 100
- d 2.452, 36.66 deg, rel. 76
- d 2.433, 36.95 deg, rel. 72
- d 2.315, 38.90 deg, rel. 64
- d 1.936, 46.93 deg, rel. 30



[5]
K2Er2Bi2Se: theoretical X-ray diffraction stick pattern (Cu Kα (weighted mean of Kα1 and Kα2)), based on a crystal structure in Alexandria, relaxed with GGA-PBE.

Atomic structure:
```
K2Er2Bi2Se
1.0
5.366 0.000 0.000
0.000 5.366 0.000
0.000 0.000 18.186
K Er Bi Se
4 4 4 2
Direct
0.000 0.000 0.184 K
0.000 0.000 0.816 K
0.500 0.500 0.316 K
0.500 0.500 0.684 K
0.000 0.500 0.000 Er
0.000 0.500 0.500 Er
0.500 0.000 0.000 Er
0.500 0.000 0.500 Er
0.000 0.000 0.388 Bi
0.000 0.000 0.612 Bi
0.500 0.500 0.112 Bi
0.500 0.500 0.888 Bi
0.000 0.000 0.000 Se
0.500 0.500 0.500 Se
```

The 10 most intense peaks (2θ from 10° to 80°), in order of rising 2θ:
- d 5.147, 17.23 deg, rel. 36
- d 4.018, 22.12 deg, rel. 23
- d 3.011, 29.67 deg, rel. 75
- d 2.913, 30.69 deg, rel. 100
- d 2.683, 33.40 deg, rel. 78
- d 2.573, 34.86 deg, rel. 30
- d 2.003, 45.27 deg, rel. 47
- d 1.897, 47.95 deg, rel. 28
- d 1.734, 52.78 deg, rel. 23
- d 1.590, 58.01 deg, rel. 34



[6]
LaNd2ErBi4: theoretical X-ray diffraction stick pattern (Cu Kα (weighted mean of Kα1 and Kα2)), based on a crystal structure in Alexandria, relaxed with GGA-PBE.

Atomic structure:
```
LaNd2ErBi4
1.0
7.951 0.000 0.000
0.000 4.601 0.000
-2.654 0.000 7.508
La Nd Er Bi
1 2 1 4
Direct
0.000 0.000 0.000 La
0.000 0.500 0.500 Nd
0.500 0.000 0.500 Nd
0.500 0.500 0.000 Er
0.256 0.500 0.249 Bi
0.259 0.000 0.756 Bi
0.741 0.000 0.244 Bi
0.744 0.500 0.751 Bi
```

The 10 most intense peaks (2θ from 10° to 80°), in order of rising 2θ:
- d 3.753, 23.71 deg, rel. 5
- d 3.250, 27.44 deg, rel. 100
- d 2.298, 39.20 deg, rel. 79
- d 1.960, 46.32 deg, rel. 3
- d 1.877, 48.51 deg, rel. 29
- d 1.625, 56.64 deg, rel. 14
- d 1.454, 64.05 deg, rel. 31
- d 1.452, 64.12 deg, rel. 6
- d 1.327, 71.01 deg, rel. 21
- d 1.325, 71.13 deg, rel. 7